[1]
Structure and theoretical powder diffraction line list of PrHoGa2I2 (a cell relaxed with PBE; a wavelength of 1.5418 Å).
No peak broadening, texture or thermal motion is included.

Structural model:
a b c (Å): 4.248 4.248 12.341
angles (deg): 90.00 90.00 120.00
Positions (direct):
Pr (0.000, 0.000, 0.000)
Ho (0.000, 0.000, 0.333)
Ga (0.333, 0.667, 0.199)
Ga (0.667, 0.333, 0.146)
I (0.333, 0.667, 0.829)
I (0.667, 0.333, 0.491)

Peak list (10 most intense, 2θ = 5–70°, by angle)
2θ (°)	I/Imax
7.16	66
14.35	11
25.26	38
28.24	45
32.66	100
42.57	48
44.03	11
44.19	18
54.66	23
62.90	24

[2]
Structure and theoretical powder diffraction line list of LiPrSeO (a cell relaxed with PBE; a wavelength of 1.5418 Å).
No peak broadening, texture or thermal motion is included.

Structural model:
a b c (Å): 5.723 5.727 9.027
angles (deg): 90.00 90.21 90.00
Positions (direct):
Li (0.250, 0.000, 0.000)
Li (0.250, 0.500, 0.001)
Li (0.750, 0.000, 0.999)
Li (0.750, 0.500, 0.000)
Pr (0.001, 0.752, 0.634)
Pr (0.499, 0.752, 0.366)
Pr (0.501, 0.252, 0.634)
Pr (0.999, 0.252, 0.366)
Se (0.000, 0.251, 0.829)
Se (0.000, 0.751, 0.171)
Se (0.499, 0.750, 0.829)
Se (0.501, 0.250, 0.171)
O (0.250, 0.002, 0.500)
O (0.250, 0.502, 0.500)
O (0.750, 0.002, 0.500)
O (0.750, 0.502, 0.500)

Peak list (10 most intense, 2θ = 5–70°, by angle)
2θ (°)	I/Imax
9.80	35
29.65	100
31.25	40
37.18	11
37.28	7
44.78	22
51.57	9
54.60	27
54.71	9
65.19	7

[3]
Structure and theoretical powder diffraction line list of TlSnHg3Se4 (a cell relaxed with PBE; a wavelength of 1.5418 Å).
No peak broadening, texture or thermal motion is included.

Structural model:
a b c (Å): 7.068 7.735 10.640
angles (deg): 90.00 105.51 90.00
Positions (direct):
Tl (0.223, 0.250, 0.386)
Tl (0.777, 0.750, 0.614)
Sn (0.453, 0.750, 0.193)
Sn (0.547, 0.250, 0.807)
Hg (0.026, 0.250, 0.669)
Hg (0.218, 0.543, 0.966)
Hg (0.218, 0.957, 0.966)
Hg (0.782, 0.043, 0.034)
Hg (0.782, 0.457, 0.034)
Hg (0.974, 0.750, 0.331)
Se (0.163, 0.250, 0.090)
Se (0.282, 0.512, 0.727)
Se (0.282, 0.988, 0.727)
Se (0.347, 0.750, 0.410)
Se (0.653, 0.250, 0.590)
Se (0.718, 0.012, 0.273)
Se (0.718, 0.488, 0.273)
Se (0.837, 0.750, 0.910)

Peak list (10 most intense, 2θ = 5–70°, by angle)
2θ (°)	I/Imax
8.62	46
24.60	96
25.85	49
26.11	90
28.60	44
29.00	100
31.99	51
34.87	55
42.30	46
42.51	55

[4]
Structure and theoretical powder diffraction line list of Zr4AsC3 (a cell relaxed with PBE; a wavelength of 1.5418 Å).
No peak broadening, texture or thermal motion is included.

Structural model:
a b c (Å): 3.410 3.410 23.550
angles (deg): 90.00 90.00 120.00
Positions (direct):
Zr (0.000, 0.000, 0.167)
Zr (0.000, 0.000, 0.333)
Zr (0.000, 0.000, 0.667)
Zr (0.000, 0.000, 0.833)
Zr (0.333, 0.667, 0.056)
Zr (0.333, 0.667, 0.444)
Zr (0.667, 0.333, 0.556)
Zr (0.667, 0.333, 0.944)
As (0.333, 0.667, 0.250)
As (0.667, 0.333, 0.750)
C (0.000, 0.000, 0.000)
C (0.000, 0.000, 0.500)
C (0.333, 0.667, 0.617)
C (0.333, 0.667, 0.883)
C (0.667, 0.333, 0.117)
C (0.667, 0.333, 0.383)

Peak list (10 most intense, 2θ = 5–70°, by angle)
2θ (°)	I/Imax
30.34	11
30.51	22
31.22	24
33.96	22
35.89	66
38.15	100
52.81	13
53.76	41
56.28	14
67.84	33

[5]
Structure and theoretical powder diffraction line list of DyTaNO (a cell relaxed with PBE; a wavelength of 1.5418 Å).
No peak broadening, texture or thermal motion is included.

Structural model:
a b c (Å): 6.263 7.519 5.089
angles (deg): 90.00 90.00 90.00
Positions (direct):
Dy (0.063, 0.139, 0.000)
Dy (0.437, 0.139, 0.500)
Dy (0.563, 0.861, 0.000)
Dy (0.937, 0.861, 0.500)
Ta (0.128, 0.659, 0.001)
Ta (0.372, 0.659, 0.501)
Ta (0.628, 0.341, 0.001)
Ta (0.872, 0.341, 0.501)
N (0.074, 0.147, 0.504)
N (0.426, 0.147, 0.004)
N (0.574, 0.853, 0.504)
N (0.926, 0.853, 0.004)
O (0.058, 0.557, 0.620)
O (0.442, 0.557, 0.120)
O (0.558, 0.443, 0.620)
O (0.942, 0.443, 0.120)

Peak list (10 most intense, 2θ = 5–70°, by angle)
2θ (°)	I/Imax
27.67	49
32.89	100
33.60	62
35.27	46
45.41	24
48.67	15
49.96	25
60.23	15
61.80	19
62.64	19

[6]
Structure and theoretical powder diffraction line list of ZrCoAgGe (a cell relaxed with PBE; a wavelength of 1.5418 Å).
No peak broadening, texture or thermal motion is included.

Structural model:
a b c (Å): 4.523 4.523 4.523
angles (deg): 60.00 60.00 60.00
Positions (direct):
Zr (0.000, 0.000, 0.000)
Co (0.500, 0.500, 0.500)
Ag (0.750, 0.750, 0.750)
Ge (0.250, 0.250, 0.250)

Peak list (6 most intense, 2θ = 5–70°, by angle)
2θ (°)	I/Imax
24.10	5
27.89	1
39.86	100
47.12	2
57.64	16
63.38	1

[7]
Structure and theoretical powder diffraction line list of Y3AuS6 (a cell relaxed with PBE; a wavelength of 1.5418 Å).
No peak broadening, texture or thermal motion is included.

Structural model:
a b c (Å): 4.209 6.711 8.487
angles (deg): 88.82 78.01 84.39
Positions (direct):
Y (0.000, 0.000, 0.000)
Y (0.366, 0.546, 0.270)
Y (0.634, 0.454, 0.730)
Au (0.000, 0.000, 0.500)
S (0.157, 0.676, 0.599)
S (0.174, 0.172, 0.706)
S (0.446, 0.263, 0.031)
S (0.554, 0.737, 0.969)
S (0.826, 0.828, 0.294)
S (0.843, 0.324, 0.401)

Peak list (10 most intense, 2θ = 5–70°, by angle)
2θ (°)	I/Imax
10.66	35
22.11	23
24.37	56
25.26	100
26.58	40
26.70	22
33.76	21
36.95	41
40.01	21
46.28	27

[8]
Structure and theoretical powder diffraction line list of TcPtN (a cell relaxed with PBE; a wavelength of 1.5418 Å).
No peak broadening, texture or thermal motion is included.

Structural model:
a b c (Å): 11.147 11.147 3.058
angles (deg): 90.00 90.00 165.60
Positions (direct):
Tc (0.121, 0.879, 0.500)
Tc (0.879, 0.121, 0.000)
Pt (0.295, 0.705, 0.519)
Pt (0.705, 0.295, 0.019)
N (0.076, 0.924, 0.006)
N (0.924, 0.076, 0.506)

Peak list (10 most intense, 2θ = 5–70°, by angle)
2θ (°)	I/Imax
7.99	100
33.49	10
38.09	20
38.24	21
40.80	5
43.22	9
44.10	24
49.45	5
60.57	3
64.74	9

[9]
Structure and theoretical powder diffraction line list of Zr3Zn3N (a cell relaxed with PBE; a wavelength of 1.5418 Å).
No peak broadening, texture or thermal motion is included.

Structural model:
a b c (Å): 8.594 8.594 8.594
angles (deg): 60.00 60.00 60.00
Positions (direct):
Zr (0.062, 0.062, 0.688)
Zr (0.062, 0.688, 0.062)
Zr (0.062, 0.688, 0.688)
Zr (0.312, 0.312, 0.938)
Zr (0.312, 0.938, 0.312)
Zr (0.312, 0.938, 0.938)
Zr (0.688, 0.062, 0.062)
Zr (0.688, 0.062, 0.688)
Zr (0.688, 0.688, 0.062)
Zr (0.938, 0.312, 0.312)
Zr (0.938, 0.312, 0.938)
Zr (0.938, 0.938, 0.312)
Zn (0.000, 0.500, 0.500)
Zn (0.294, 0.294, 0.294)
Zn (0.294, 0.294, 0.618)
Zn (0.294, 0.618, 0.294)
Zn (0.382, 0.706, 0.706)
Zn (0.500, 0.000, 0.500)
Zn (0.500, 0.500, 0.000)
Zn (0.500, 0.500, 0.500)
Zn (0.618, 0.294, 0.294)
Zn (0.706, 0.382, 0.706)
Zn (0.706, 0.706, 0.382)
Zn (0.706, 0.706, 0.706)
N (0.000, 0.000, 0.000)
N (0.000, 0.000, 0.500)
N (0.000, 0.500, 0.000)
N (0.500, 0.000, 0.000)

Peak list (10 most intense, 2θ = 5–70°, by angle)
2θ (°)	I/Imax
32.10	14
36.21	38
38.49	100
42.06	23
44.74	9
49.77	6
53.87	6
62.56	6
65.13	38
66.64	8

[10]
Structure and theoretical powder diffraction line list of Al5Re8 (a cell relaxed with PBE; a wavelength of 1.5418 Å).
No peak broadening, texture or thermal motion is included.

Structural model:
a b c (Å): 9.242 9.242 9.242
angles (deg): 32.43 32.43 32.43
Positions (direct):
Al (0.000, 0.000, 0.000)
Al (0.168, 0.168, 0.168)
Al (0.451, 0.451, 0.451)
Al (0.549, 0.549, 0.549)
Al (0.832, 0.832, 0.832)
Re (0.087, 0.087, 0.590)
Re (0.087, 0.590, 0.087)
Re (0.343, 0.343, 0.343)
Re (0.410, 0.913, 0.913)
Re (0.590, 0.087, 0.087)
Re (0.657, 0.657, 0.657)
Re (0.913, 0.410, 0.913)
Re (0.913, 0.913, 0.410)

Peak list (10 most intense, 2θ = 5–70°, by angle)
2θ (°)	I/Imax
10.11	54
20.30	35
20.99	14
26.19	17
31.13	21
39.83	17
40.54	100
41.28	23
42.74	28
44.03	32

[11]
Structure and theoretical powder diffraction line list of CdCu2GeTeSe3 (a cell relaxed with PBE; a wavelength of 1.5418 Å).
No peak broadening, texture or thermal motion is included.

Structural model:
a b c (Å): 5.952 5.952 7.072
angles (deg): 114.53 114.53 89.84
Positions (direct):
Cd (0.000, 0.000, 0.000)
Cu (0.263, 0.740, 0.518)
Cu (0.740, 0.263, 0.518)
Ge (0.481, 0.481, 0.000)
Te (0.867, 0.867, 0.286)
Se (0.126, 0.589, 0.735)
Se (0.394, 0.394, 0.277)
Se (0.589, 0.126, 0.735)

Peak list (10 most intense, 2θ = 5–70°, by angle)
2θ (°)	I/Imax
26.10	51
26.30	100
26.40	54
42.92	26
43.04	26
43.67	49
44.06	46
50.86	17
51.21	29
62.41	15

[12]
Structure and theoretical powder diffraction line list of U3Co2 (a cell relaxed with PBE; a wavelength of 1.5418 Å).
No peak broadening, texture or thermal motion is included.

Structural model:
a b c (Å): 6.603 6.603 6.603
angles (deg): 57.63 57.63 57.63
Positions (direct):
U (0.191, 0.750, 0.309)
U (0.250, 0.691, 0.809)
U (0.309, 0.191, 0.750)
U (0.691, 0.809, 0.250)
U (0.750, 0.309, 0.191)
U (0.809, 0.250, 0.691)
Co (0.180, 0.180, 0.180)
Co (0.320, 0.320, 0.320)
Co (0.680, 0.680, 0.680)
Co (0.820, 0.820, 0.820)

Peak list (10 most intense, 2θ = 5–70°, by angle)
2θ (°)	I/Imax
27.04	22
32.52	57
32.65	30
34.31	100
39.35	49
43.56	34
43.80	19
55.76	13
60.85	26
67.55	19